1.
Diffraction record for Li2SnCl4. The powder diffractogram is simulated, not measured: it uses a DFT-relaxed cell (GGA-PBE, Alexandria) and λ = 1.5418 Å (Cu Kα).
Peak positions follow from Bragg's law for the DFT cell and can differ from measured ones.

Structure:
Unit cell a=7.211 b=7.424 c=7.865 alpha=107.73 beta=106.60 gamma=111.39
Element x y z (fractional)
Li1 0.000 0.000 0.000
Li2 0.003 0.939 0.501
Li3 0.427 0.926 0.853
Li4 0.929 0.365 0.352
Sn1 0.360 0.611 0.180
Sn2 0.604 0.356 0.672
Cl1 0.126 0.713 0.936
Cl2 0.189 0.190 0.376
Cl3 0.239 0.741 0.477
Cl4 0.244 0.155 0.849
Cl5 0.617 0.704 0.918
Cl6 0.696 0.034 0.397
Cl7 0.726 0.563 0.456
Cl8 0.820 0.232 0.003

Main lines, sorted by position (15 to 90 degrees two-theta):
- d 4.487, 2θ = 19.79°, intensity 100
- d 3.535, 2θ = 25.19°, intensity 22
- d 3.511, 2θ = 25.37°, intensity 45
- d 2.833, 2θ = 31.58°, intensity 31
- d 2.791, 2θ = 32.07°, intensity 43
- d 2.645, 2θ = 33.89°, intensity 22
- d 2.611, 2θ = 34.34°, intensity 30
- d 2.405, 2θ = 37.39°, intensity 30
- d 2.371, 2θ = 37.95°, intensity 26
- d 2.304, 2θ = 39.09°, intensity 23
- d 2.268, 2θ = 39.74°, intensity 25
- d 2.243, 2θ = 40.20°, intensity 24

2.
Diffraction record for Na2GeBi. The powder diffractogram is simulated, not measured: it uses a DFT-relaxed cell (GGA-PBE, Alexandria) and λ = 1.5418 Å (Cu Kα).
Peak positions follow from Bragg's law for the DFT cell and can differ from measured ones.

Structure:
Unit cell a=6.568 b=7.364 c=11.500 alpha=90.00 beta=120.07 gamma=90.00
Element x y z (fractional)
Na1 0.077 0.203 0.125
Na2 0.077 0.297 0.625
Na3 0.321 0.742 0.258
Na4 0.321 0.758 0.758
Na5 0.679 0.242 0.242
Na6 0.679 0.258 0.742
Na7 0.923 0.703 0.375
Na8 0.923 0.797 0.875
Ge1 0.480 0.606 0.572
Ge2 0.480 0.894 0.072
Ge3 0.520 0.106 0.928
Ge4 0.520 0.394 0.428
Bi1 0.259 0.092 0.439
Bi2 0.259 0.408 0.939
Bi3 0.741 0.592 0.061
Bi4 0.741 0.908 0.561

Main lines, sorted by position (15 to 90 degrees two-theta):
- d 5.277, 2θ = 16.80°, intensity 100
- d 4.976, 2θ = 17.82°, intensity 88
- d 4.500, 2θ = 19.73°, intensity 44
- d 3.388, 2θ = 26.30°, intensity 59
- d 3.209, 2θ = 27.80°, intensity 98
- d 2.924, 2θ = 30.57°, intensity 70
- d 2.826, 2θ = 31.66°, intensity 40
- d 2.343, 2θ = 38.42°, intensity 52
- d 2.308, 2θ = 39.03°, intensity 44
- d 2.253, 2θ = 40.01°, intensity 39
- d 2.095, 2θ = 43.19°, intensity 40
- d 1.915, 2θ = 47.49°, intensity 37

3.
Diffraction record for Na4Te3Au. The powder diffractogram is simulated, not measured: it uses a DFT-relaxed cell (GGA-PBE, Alexandria) and λ = 1.5418 Å (Cu Kα).
Peak positions follow from Bragg's law for the DFT cell and can differ from measured ones.

Structure:
Unit cell a=9.069 b=9.069 c=9.069 alpha=95.92 beta=95.92 gamma=142.53
Element x y z (fractional)
Na1 0.082 0.768 0.850
Na2 0.232 0.082 0.313
Na3 0.268 0.582 0.850
Na4 0.418 0.268 0.687
Na5 0.582 0.732 0.313
Na6 0.732 0.418 0.150
Na7 0.768 0.918 0.687
Na8 0.918 0.232 0.150
Te1 0.152 0.348 0.500
Te2 0.250 0.250 0.000
Te3 0.348 0.848 0.196
Te4 0.652 0.152 0.804
Te5 0.750 0.750 0.000
Te6 0.848 0.652 0.500
Au1 0.250 0.750 0.500
Au2 0.750 0.250 0.500

Main lines, sorted by position (15 to 90 degrees two-theta):
- d 4.294, 2θ = 20.68°, intensity 63
- d 3.973, 2θ = 22.38°, intensity 57
- d 2.863, 2θ = 31.24°, intensity 24
- d 2.716, 2θ = 32.98°, intensity 82
- d 2.627, 2θ = 34.13°, intensity 100
- d 2.411, 2θ = 37.30°, intensity 37
- d 2.321, 2θ = 38.80°, intensity 22
- d 2.147, 2θ = 42.08°, intensity 21
- d 2.103, 2θ = 43.02°, intensity 80
- d 2.024, 2θ = 44.77°, intensity 19
- d 1.603, 2θ = 57.47°, intensity 27
- d 1.458, 2θ = 63.84°, intensity 47

4.
Diffraction record for AcPuSe2O. The powder diffractogram is simulated, not measured: it uses a DFT-relaxed cell (GGA-PBE, Alexandria) and λ = 1.5418 Å (Cu Kα).
Peak positions follow from Bragg's law for the DFT cell and can differ from measured ones.

Structure:
Unit cell a=4.194 b=4.194 c=14.619 alpha=90.00 beta=90.00 gamma=90.00
Element x y z (fractional)
Ac1 0.250 0.250 0.089
Ac2 0.750 0.750 0.911
Pu1 0.250 0.250 0.610
Pu2 0.750 0.750 0.390
Se1 0.250 0.250 0.407
Se2 0.250 0.250 0.795
Se3 0.750 0.750 0.205
Se4 0.750 0.750 0.593
O1 0.250 0.750 0.000
O2 0.750 0.250 0.000

Main lines, sorted by position (15 to 90 degrees two-theta):
- d 3.655, 2θ = 24.35°, intensity 30
- d 3.638, 2θ = 24.47°, intensity 90
- d 3.179, 2θ = 28.07°, intensity 15
- d 2.966, 2θ = 30.13°, intensity 100
- d 2.755, 2θ = 32.50°, intensity 37
- d 2.303, 2θ = 39.12°, intensity 43
- d 2.107, 2θ = 42.93°, intensity 20
- d 2.097, 2θ = 43.14°, intensity 42
- d 1.883, 2θ = 48.35°, intensity 27
- d 1.818, 2θ = 50.19°, intensity 46
- d 1.669, 2θ = 55.03°, intensity 16
- d 1.326, 2θ = 71.08°, intensity 18

5.
Diffraction record for HfOsW. The powder diffractogram is simulated, not measured: it uses a DFT-relaxed cell (GGA-PBE, Alexandria) and λ = 1.5418 Å (Cu Kα).
Peak positions follow from Bragg's law for the DFT cell and can differ from measured ones.

Structure:
Unit cell a=6.622 b=6.622 c=4.286 alpha=90.00 beta=90.00 gamma=120.00
Element x y z (fractional)
Hf1 0.000 0.562 0.000
Hf2 0.438 0.438 0.000
Hf3 0.562 0.000 0.000
Os1 0.000 0.248 0.500
Os2 0.248 0.000 0.500
Os3 0.752 0.752 0.500
W1 0.000 0.000 0.000
W2 0.333 0.667 0.500
W3 0.667 0.333 0.500

Main lines, sorted by position (15 to 90 degrees two-theta):
- d 2.620, 2θ = 34.22°, intensity 59
- d 2.383, 2θ = 37.75°, intensity 100
- d 2.168, 2θ = 41.67°, intensity 36
- d 2.143, 2θ = 42.17°, intensity 34
- d 1.934, 2θ = 46.98°, intensity 26
- d 1.912, 2θ = 47.57°, intensity 16
- d 1.524, 2θ = 60.78°, intensity 24
- d 1.491, 2θ = 62.26°, intensity 9
- d 1.427, 2θ = 65.42°, intensity 12
- d 1.279, 2θ = 74.15°, intensity 14
- d 1.258, 2θ = 75.61°, intensity 19
- d 1.201, 2θ = 79.85°, intensity 8